For Nb6PbS8, a GGA-PBE-relaxed structure gives the computed XRD peak list in this record (λ = 1.5418 Å (Cu Kα)).
Lines closer than 0.1° are merged.

Principal peaks in the range 2θ from 10° to 90°, sorted by position:
two_theta, d/Å, intensity
21.2, 4.192, 45
28.2, 3.168, 61
32.0, 2.794, 21
33.8, 2.650, 15
38.7, 2.325, 100
45.9, 1.976, 23
49.8, 1.829, 23
54.8, 1.676, 19
68.0, 1.378, 19
86.0, 1.130, 18

abc: 9.6804 9.6804 3.4209
angles: 90.00 90.00 120.00
Sites, in units of the cell vectors:
Nb (0.1123, 0.6251, 0.2487)
Nb (0.3749, 0.4872, 0.2487)
Nb (0.4872, 0.1123, 0.7513)
Nb (0.5128, 0.8877, 0.2487)
Nb (0.6251, 0.5128, 0.7513)
Nb (0.8877, 0.3749, 0.7513)
Pb (0.0000, 0.0000, 0.0000)
S (0.0547, 0.3413, 0.2524)
S (0.2866, 0.9453, 0.2524)
S (0.3333, 0.6667, 0.7495)
S (0.3413, 0.2866, 0.7476)
S (0.6587, 0.7134, 0.2524)
S (0.6667, 0.3333, 0.2505)
S (0.7134, 0.0547, 0.7476)
S (0.9453, 0.6587, 0.7476)

***

For Nb3PbS6, a GGA-PBE-relaxed structure gives the computed XRD peak list in this record (λ = 1.5418 Å (Cu Kα)).
Lines closer than 0.1° are merged.

Principal peaks in the range 2θ from 10° to 90°, sorted by position:
two_theta, d/Å, intensity
11.8, 7.494, 22
17.5, 5.075, 45
21.1, 4.202, 60
23.7, 3.747, 18
29.6, 3.014, 27
30.5, 2.930, 45
39.0, 2.308, 100
54.2, 1.692, 26
58.5, 1.578, 18
68.8, 1.364, 18

abc: 5.8596 5.8596 14.9882
angles: 90.00 90.00 120.00
Sites, in units of the cell vectors:
Nb (0.0000, 0.0000, 0.2500)
Nb (0.0000, 0.0000, 0.7500)
Nb (0.3333, 0.6667, 0.2500)
Nb (0.3333, 0.6667, 0.7500)
Nb (0.6667, 0.3333, 0.2500)
Nb (0.6667, 0.3333, 0.7500)
Pb (0.0000, 0.0000, 0.0000)
Pb (0.0000, 0.0000, 0.5000)
S (0.0000, 0.3361, 0.1461)
S (0.0000, 0.3361, 0.3539)
S (0.0000, 0.6639, 0.6461)
S (0.0000, 0.6639, 0.8539)
S (0.3361, 0.0000, 0.1461)
S (0.3361, 0.0000, 0.3539)
S (0.3361, 0.3361, 0.6461)
S (0.3361, 0.3361, 0.8539)
S (0.6639, 0.0000, 0.6461)
S (0.6639, 0.0000, 0.8539)
S (0.6639, 0.6639, 0.1461)
S (0.6639, 0.6639, 0.3539)

***

For Nb5PbSe8, a GGA-PBE-relaxed structure gives the computed XRD peak list in this record (λ = 1.5418 Å (Cu Kα)).
Lines closer than 0.1° are merged.

Principal peaks in the range 2θ from 10° to 90°, sorted by position:
two_theta, d/Å, intensity
19.3, 4.593, 21
19.9, 4.470, 19
31.6, 2.828, 35
32.2, 2.782, 82
33.5, 2.676, 47
38.6, 2.331, 25
39.4, 2.288, 100
40.4, 2.235, 19
51.5, 1.774, 36
52.2, 1.753, 26

abc: 9.4213 9.4213 9.4363
angles: 103.00 103.00 21.45
Sites, in units of the cell vectors:
Nb (0.0000, 0.0000, 0.0000)
Nb (0.2891, 0.2891, 0.6322)
Nb (0.3588, 0.3588, 0.0034)
Nb (0.6412, 0.6412, 0.9966)
Nb (0.7109, 0.7109, 0.3678)
Pb (0.5000, 0.5000, 0.5000)
Se (0.0847, 0.0847, 0.8074)
Se (0.1500, 0.1500, 0.5086)
Se (0.2394, 0.2394, 0.1607)
Se (0.4301, 0.4301, 0.8014)
Se (0.5699, 0.5699, 0.1986)
Se (0.7606, 0.7606, 0.8393)
Se (0.8500, 0.8500, 0.4914)
Se (0.9153, 0.9153, 0.1926)

***

For Nb12PbSe16, a GGA-PBE-relaxed structure gives the computed XRD peak list in this record (λ = 1.5418 Å (Cu Kα)).
Lines closer than 0.1° are merged.

Principal peaks in the range 2θ from 10° to 90°, sorted by position:
two_theta, d/Å, intensity
10.2, 8.711, 22
27.2, 3.280, 11
30.8, 2.902, 22
32.6, 2.748, 24
37.3, 2.413, 100
44.2, 2.050, 25
47.9, 1.901, 15
52.6, 1.741, 15
65.3, 1.428, 11
82.1, 1.174, 18

abc: 7.0817 10.0581 10.6607
angles: 118.12 109.36 90.01
Sites, in units of the cell vectors:
Nb (0.0642, 0.3938, 0.3813)
Nb (0.0713, 0.0131, 0.8929)
Nb (0.1330, 0.1225, 0.5129)
Nb (0.3691, 0.8804, 0.4872)
Nb (0.4287, 0.9870, 0.1067)
Nb (0.4328, 0.6071, 0.6207)
Nb (0.5672, 0.3929, 0.3793)
Nb (0.5713, 0.0130, 0.8933)
Nb (0.6309, 0.1196, 0.5128)
Nb (0.8670, 0.8775, 0.4871)
Nb (0.9287, 0.9869, 0.1071)
Nb (0.9358, 0.6062, 0.6187)
Pb (0.0000, 0.5000, 0.0000)
Se (0.0126, 0.8358, 0.2785)
Se (0.0980, 0.7782, 0.9423)
Se (0.2060, 0.4405, 0.6618)
Se (0.2085, 0.8340, 0.6662)
Se (0.2922, 0.1672, 0.3336)
Se (0.2950, 0.5574, 0.3359)
Se (0.4048, 0.2207, 0.0593)
Se (0.4851, 0.1622, 0.7205)
Se (0.5149, 0.8378, 0.2795)
Se (0.5952, 0.7793, 0.9407)
Se (0.7050, 0.4426, 0.6641)
Se (0.7078, 0.8328, 0.6664)
Se (0.7915, 0.1660, 0.3338)
Se (0.7940, 0.5595, 0.3382)
Se (0.9020, 0.2218, 0.0577)
Se (0.9874, 0.1642, 0.7215)

***

For Nb6Te8Pb, a GGA-PBE-relaxed structure gives the computed XRD peak list in this record (λ = 1.5418 Å (Cu Kα)).
Lines closer than 0.1° are merged.

Principal peaks in the range 2θ from 10° to 90°, sorted by position:
two_theta, d/Å, intensity
28.7, 3.111, 60
29.4, 3.036, 31
31.0, 2.887, 63
34.7, 2.589, 76
35.3, 2.545, 100
41.6, 2.173, 37
42.7, 2.116, 27
44.5, 2.037, 24
49.3, 1.850, 27
75.9, 1.253, 33

abc: 10.7775 10.7775 3.6744
angles: 90.00 90.00 120.00
Sites, in units of the cell vectors:
Nb (0.1023, 0.4893, 0.2492)
Nb (0.3870, 0.8977, 0.2492)
Nb (0.4893, 0.3870, 0.7508)
Nb (0.5107, 0.6130, 0.2492)
Nb (0.6130, 0.1023, 0.7508)
Nb (0.8977, 0.5107, 0.7508)
Te (0.0617, 0.7289, 0.2523)
Te (0.2711, 0.3328, 0.2523)
Te (0.3328, 0.0617, 0.7477)
Te (0.3333, 0.6667, 0.7500)
Te (0.6667, 0.3333, 0.2500)
Te (0.6672, 0.9383, 0.2523)
Te (0.7289, 0.6672, 0.7477)
Te (0.9383, 0.2711, 0.7477)
Pb (0.0000, 0.0000, 0.0000)

***

For Nb4Pd, a GGA-PBE-relaxed structure gives the computed XRD peak list in this record (λ = 1.5418 Å (Cu Kα)).
Lines closer than 0.1° are merged.

Principal peaks in the range 2θ from 10° to 90°, sorted by position:
two_theta, d/Å, intensity
38.5, 2.341, 100
39.3, 2.294, 23
40.1, 2.250, 22
53.6, 1.709, 9
57.4, 1.606, 15
68.5, 1.371, 9
69.0, 1.361, 9
70.6, 1.333, 15
71.7, 1.316, 15
82.4, 1.171, 10

abc: 11.6887 11.5966 2.8260
angles: 84.89 81.18 13.93
Sites, in units of the cell vectors:
Nb (0.0955, 0.0955, 0.9045)
Nb (0.3023, 0.3023, 0.6977)
Nb (0.6977, 0.6977, 0.3023)
Nb (0.9045, 0.9045, 0.0955)
Pd (0.5000, 0.5000, 0.5000)

***

For Nb3Pd, a GGA-PBE-relaxed structure gives the computed XRD peak list in this record (λ = 1.5418 Å (Cu Kα)).
Lines closer than 0.1° are merged.

Principal peaks in the range 2θ from 10° to 90°, sorted by position:
two_theta, d/Å, intensity
38.6, 2.335, 100
39.5, 2.280, 23
40.6, 2.224, 22
53.3, 1.718, 10
57.9, 1.592, 15
68.4, 1.372, 9
69.1, 1.359, 9
71.1, 1.327, 15
72.5, 1.304, 15
82.6, 1.168, 10

abc: 3.4355 4.4481 9.1196
angles: 90.00 90.00 90.00
Sites, in units of the cell vectors:
Nb (0.0000, 0.0000, 0.0000)
Nb (0.0000, 0.5000, 0.2592)
Nb (0.0000, 0.5000, 0.7408)
Nb (0.5000, 0.0000, 0.2592)
Nb (0.5000, 0.0000, 0.7408)
Nb (0.5000, 0.5000, 0.0000)
Pd (0.0000, 0.0000, 0.5000)
Pd (0.5000, 0.5000, 0.5000)

***

For Nb2Pd, a GGA-PBE-relaxed structure gives the computed XRD peak list in this record (λ = 1.5418 Å (Cu Kα)).
Lines closer than 0.1° are merged.

Principal peaks in the range 2θ from 10° to 90°, sorted by position:
two_theta, d/Å, intensity
38.3, 2.348, 100
41.5, 2.177, 20
42.1, 2.148, 19
49.7, 1.833, 12
60.6, 1.529, 13
66.7, 1.402, 9
73.6, 1.287, 14
74.4, 1.275, 14
82.1, 1.174, 10
85.6, 1.135, 9

abc: 3.6664 4.2964 13.0619
angles: 90.00 90.00 90.00
Sites, in units of the cell vectors:
Nb (0.0000, 0.0000, 0.1632)
Nb (0.0000, 0.0000, 0.8368)
Nb (0.0000, 0.5000, 0.3368)
Nb (0.0000, 0.5000, 0.6632)
Nb (0.5000, 0.0000, 0.3368)
Nb (0.5000, 0.0000, 0.6632)
Nb (0.5000, 0.5000, 0.1632)
Nb (0.5000, 0.5000, 0.8368)
Pd (0.0000, 0.0000, 0.5000)
Pd (0.0000, 0.5000, 0.0000)
Pd (0.5000, 0.0000, 0.0000)
Pd (0.5000, 0.5000, 0.5000)